Starting from DFT lattice parameters and positions (GGA-PBE), the powder diffraction line list of YHoB5 was simulated for Cu Kα.
No peak broadening, texture or thermal motion is included.

The 10 most intense peaks (2θ from 15° to 90°), in order of falling intensity:
2θ (°)  d_spacing  I (rel.)
38.6  2.335  100
30.5  2.935  69
35.6  2.524  59
23.1  3.853  54
26.7  3.340  53
55.3  1.660  28
57.2  1.611  24
17.6  5.048  24
49.5  1.840  22
55.0  1.669  22

Lattice parameters (Å, degrees): 3.268 6.680 7.706 90.00 90.00 90.00
Space group Imm2 (No. 44)
Asymmetric unit:
Y (0.000, 0.000, 0.000) (multiplicity 2)
Ho (0.000, 0.000, 0.491) (multiplicity 2)
B (0.000, 0.263, 0.744) (multiplicity 4)
B (0.000, 0.362, 0.244) (multiplicity 4)
B (0.000, 0.500, 0.746) (multiplicity 2)

***

Starting from DFT lattice parameters and positions (GGA-PBE), the powder diffraction line list of Nd2BIN2 was simulated for Cu Kα.
No peak broadening, texture or thermal motion is included.

The 10 most intense peaks (2θ from 15° to 90°), in order of falling intensity:
2θ (°)  d_spacing  I (rel.)
28.6  3.117  100
44.3  2.045  35
37.4  2.407  32
30.4  2.936  29
54.8  1.674  22
30.7  2.916  20
52.1  1.754  19
53.6  1.710  17
72.0  1.312  14
26.1  3.420  12

Lattice parameters (Å, degrees): 4.0903 4.0903 26.2462 90.00 90.00 120.00
Space group R-3m (No. 166, hexagonal axes)
Asymmetric unit:
Nd (0.0000, 0.0000, 0.2362) (multiplicity 6)
B (0.0000, 0.0000, 0.5000) (multiplicity 3)
I (0.0000, 0.0000, 0.0000) (multiplicity 3)
N (0.0000, 0.0000, 0.4464) (multiplicity 6)

***

Starting from DFT lattice parameters and positions (GGA-PBE), the powder diffraction line list of Pr2Nd2BI5 was simulated for Cu Kα.
No peak broadening, texture or thermal motion is included.

The 10 most intense peaks (2θ from 15° to 90°), in order of falling intensity:
2θ (°)  d_spacing  I (rel.)
29.0  3.079  100
28.1  3.173  45
40.6  2.220  30
41.0  2.200  29
31.7  2.826  26
52.1  1.755  20
42.9  2.107  19
28.5  3.133  19
40.0  2.255  16
26.2  3.406  16

Lattice parameters (Å, degrees): 19.513 4.214 9.021 90.00 102.63 90.00
Space group C2/m (No. 12)
Asymmetric unit:
Pr (0.001, 0.000, 0.298) (multiplicity 4)
Nd (0.139, 0.500, 0.571) (multiplicity 4)
B (0.000, 0.500, 0.500) (multiplicity 2)
I (0.000, 0.500, 0.000) (multiplicity 2)
I (0.166, 0.000, 0.840) (multiplicity 4)
I (0.173, 0.000, 0.327) (multiplicity 4)

***

Starting from DFT lattice parameters and positions (GGA-PBE), the powder diffraction line list of Nd2Sc2BI5 was simulated for Cu Kα.
No peak broadening, texture or thermal motion is included.

The 10 most intense peaks (2θ from 15° to 90°), in order of falling intensity:
2θ (°)  d_spacing  I (rel.)
30.0  2.982  100
25.9  3.437  58
40.1  2.249  31
40.0  2.257  30
22.6  3.941  30
20.4  4.355  27
45.2  2.008  19
37.9  2.375  18
62.2  1.491  17
52.8  1.734  16

Lattice parameters (Å, degrees): 21.075 4.015 8.910 90.00 101.89 90.00
Space group C2/m (No. 12)
Asymmetric unit:
Nd (0.000, 0.000, 0.203) (multiplicity 4)
Sc (0.114, 0.500, 0.056) (multiplicity 4)
B (0.000, 0.500, 0.000) (multiplicity 2)
I (0.000, 0.500, 0.500) (multiplicity 2)
I (0.156, 0.000, 0.303) (multiplicity 4)
I (0.156, 0.000, 0.849) (multiplicity 4)

***

Starting from DFT lattice parameters and positions (GGA-PBE), the powder diffraction line list of Tb4BI5 was simulated for Cu Kα.
No peak broadening, texture or thermal motion is included.

The 10 most intense peaks (2θ from 15° to 90°), in order of falling intensity:
2θ (°)  d_spacing  I (rel.)
30.1  2.972  100
28.8  3.103  45
32.6  2.747  31
42.0  2.153  28
42.2  2.139  27
29.4  3.036  21
44.5  2.036  19
53.9  1.702  18
27.0  3.299  17
41.5  2.174  15

Lattice parameters (Å, degrees): 19.077 4.071 8.697 90.00 102.61 90.00
Space group C2/m (No. 12)
Asymmetric unit:
Tb (0.001, 0.000, 0.304) (multiplicity 4)
Tb (0.136, 0.500, 0.568) (multiplicity 4)
B (0.000, 0.500, 0.500) (multiplicity 2)
I (0.000, 0.500, 0.000) (multiplicity 2)
I (0.165, 0.000, 0.841) (multiplicity 4)
I (0.171, 0.000, 0.325) (multiplicity 4)

***

Starting from DFT lattice parameters and positions (GGA-PBE), the powder diffraction line list of InB4Ir was simulated for Cu Kα.
No peak broadening, texture or thermal motion is included.

The 10 most intense peaks (2θ from 15° to 90°), in order of falling intensity:
2θ (°)  d_spacing  I (rel.)
40.7  2.217  100
34.3  2.618  66
21.3  4.168  64
56.4  1.630  34
65.7  1.421  19
61.3  1.511  16
76.2  1.249  16
78.1  1.223  15
43.4  2.084  14
77.8  1.227  14

Lattice parameters (Å, degrees): 3.0226 3.0226 8.3352 90.00 90.00 120.00
Space group P6/mmm (No. 191)
Asymmetric unit:
In (0.0000, 0.0000, 0.0000) (multiplicity 1)
B (0.3333, 0.6667, 0.2945) (multiplicity 4)
Ir (0.0000, 0.0000, 0.5000) (multiplicity 1)

***

Starting from DFT lattice parameters and positions (GGA-PBE), the powder diffraction line list of LaNdB2Ir2N2 was simulated for Cu Kα.
No peak broadening, texture or thermal motion is included.

The 10 most intense peaks (2θ from 15° to 90°), in order of falling intensity:
2θ (°)  d_spacing  I (rel.)
35.1  2.560  100
40.8  2.211  70
35.4  2.533  40
47.3  1.922  39
60.5  1.531  34
26.0  3.431  34
59.3  1.557  23
33.1  2.703  23
79.9  1.201  19
83.5  1.158  18

Lattice parameters (Å, degrees): 3.845 3.845 7.599 90.00 90.00 90.00
Space group P4mm (No. 99)
Asymmetric unit:
La (0.000, 0.000, 0.000) (multiplicity 1)
Nd (0.500, 0.500, 0.663) (multiplicity 1)
B (0.000, 0.000, 0.480) (multiplicity 1)
B (0.500, 0.500, 0.183) (multiplicity 1)
Ir (0.000, 0.500, 0.333) (multiplicity 2)
N (0.000, 0.000, 0.677) (multiplicity 1)
N (0.500, 0.500, 0.987) (multiplicity 1)

***

Starting from DFT lattice parameters and positions (GGA-PBE), the powder diffraction line list of La2PrB2Ir2N3 was simulated for Cu Kα.
No peak broadening, texture or thermal motion is included.

The 10 most intense peaks (2θ from 15° to 90°), in order of falling intensity:
2θ (°)  d_spacing  I (rel.)
34.2  2.620  100
37.6  2.394  77
35.2  2.552  57
42.7  2.120  57
26.7  3.340  56
47.4  1.916  52
60.4  1.532  47
32.0  2.794  44
56.4  1.631  27
17.4  5.103  26

Lattice parameters (Å, degrees): 3.833 3.833 20.413 90.00 90.00 90.00
Space group I4/mmm (No. 139)
Asymmetric unit:
La (0.000, 0.000, 0.125) (multiplicity 4)
Pr (0.000, 0.000, 0.500) (multiplicity 2)
B (0.000, 0.000, 0.306) (multiplicity 4)
Ir (0.000, 0.500, 0.250) (multiplicity 4)
N (0.000, 0.000, 0.000) (multiplicity 2)
N (0.000, 0.000, 0.378) (multiplicity 4)

***

Starting from DFT lattice parameters and positions (GGA-PBE), the powder diffraction line list of LaYB2Ir2N2 was simulated for Cu Kα.
No peak broadening, texture or thermal motion is included.

The 10 most intense peaks (2θ from 15° to 90°), in order of falling intensity:
2θ (°)  d_spacing  I (rel.)
35.4  2.537  100
41.2  2.192  66
35.7  2.513  37
47.7  1.905  35
61.0  1.518  31
59.9  1.545  24
26.2  3.401  22
80.8  1.190  19
23.6  3.770  18
84.4  1.148  17

Lattice parameters (Å, degrees): 3.811 3.811 7.540 90.00 90.00 90.00
Space group P4mm (No. 99)
Asymmetric unit:
La (0.000, 0.000, 0.000) (multiplicity 1)
Y (0.500, 0.500, 0.669) (multiplicity 1)
B (0.000, 0.000, 0.483) (multiplicity 1)
B (0.500, 0.500, 0.181) (multiplicity 1)
Ir (0.000, 0.500, 0.337) (multiplicity 2)
N (0.000, 0.000, 0.681) (multiplicity 1)
N (0.500, 0.500, 0.981) (multiplicity 1)

***

Starting from DFT lattice parameters and positions (GGA-PBE), the powder diffraction line list of La2B4Ir3Pd2 was simulated for Cu Kα.
No peak broadening, texture or thermal motion is included.

The 10 most intense peaks (2θ from 15° to 90°), in order of falling intensity:
2θ (°)  d_spacing  I (rel.)
36.9  2.433  100
34.0  2.637  61
30.0  2.979  58
36.1  2.491  38
38.7  2.328  35
49.4  1.844  25
62.8  1.480  23
23.1  3.856  22
46.1  1.968  22
31.7  2.826  19

Lattice parameters (Å, degrees): 5.484 10.548 11.305 90.00 90.00 90.00
Space group Fmmm (No. 69)
Asymmetric unit:
La (0.000, 0.000, 0.147) (multiplicity 8)
B (0.000, 0.153, 0.363) (multiplicity 16)
Ir (0.000, 0.000, 0.500) (multiplicity 4)
Ir (0.250, 0.250, 0.250) (multiplicity 8)
Pd (0.250, 0.250, 0.000) (multiplicity 8)

***

Starting from DFT lattice parameters and positions (GGA-PBE), the powder diffraction line list of La2B4IrPd4 was simulated for Cu Kα.
No peak broadening, texture or thermal motion is included.

The 10 most intense peaks (2θ from 15° to 90°), in order of falling intensity:
2θ (°)  d_spacing  I (rel.)
36.7  2.446  100
29.8  3.002  85
34.0  2.638  60
38.5  2.339  50
35.8  2.508  28
62.6  1.483  22
49.1  1.856  19
52.3  1.750  19
61.9  1.498  19
45.8  1.983  16

Lattice parameters (Å, degrees): 5.521 10.552 11.405 90.00 90.00 90.00
Space group Fmmm (No. 69)
Asymmetric unit:
La (0.000, 0.000, 0.152) (multiplicity 8)
B (0.000, 0.153, 0.371) (multiplicity 16)
Ir (0.000, 0.000, 0.500) (multiplicity 4)
Pd (0.250, 0.250, 0.000) (multiplicity 8)
Pd (0.250, 0.250, 0.250) (multiplicity 8)

***

Starting from DFT lattice parameters and positions (GGA-PBE), the powder diffraction line list of La2B4IrPt4 was simulated for Cu Kα.
No peak broadening, texture or thermal motion is included.

The 10 most intense peaks (2θ from 15° to 90°), in order of falling intensity:
2θ (°)  d_spacing  I (rel.)
37.8  2.378  100
28.5  3.135  81
33.9  2.646  61
36.3  2.473  55
48.0  1.894  35
44.2  2.050  32
72.2  1.308  28
38.5  2.336  26
58.5  1.578  25
17.9  4.947  22

Lattice parameters (Å, degrees): 5.424 9.894 12.525 90.00 90.00 90.00
Space group Fmmm (No. 69)
Asymmetric unit:
La (0.000, 0.000, 0.140) (multiplicity 8)
B (0.000, 0.158, 0.372) (multiplicity 16)
Ir (0.000, 0.000, 0.500) (multiplicity 4)
Pt (0.250, 0.250, 0.000) (multiplicity 8)
Pt (0.250, 0.250, 0.250) (multiplicity 8)

***

Starting from DFT lattice parameters and positions (GGA-PBE), the powder diffraction line list of Mg2BIr2 was simulated for Cu Kα.
No peak broadening, texture or thermal motion is included.

The 10 most intense peaks (2θ from 15° to 90°), in order of falling intensity:
2θ (°)  d_spacing  I (rel.)
21.2  4.200  100
36.9  2.436  74
37.7  2.385  69
43.5  2.081  52
48.8  1.865  45
29.9  2.991  38
30.9  2.897  35
62.9  1.478  31
74.9  1.267  27
43.1  2.100  24

Lattice parameters (Å, degrees): 5.795 8.400 2.991 90.00 90.00 90.00
Space group Pbam (No. 55)
Asymmetric unit:
Mg (0.017, 0.215, 0.000) (multiplicity 4)
B (0.000, 0.500, 0.000) (multiplicity 2)
Ir (0.246, 0.493, 0.500) (multiplicity 4)